Structure and simulated X-ray diffraction stick pattern of RbP (a DFT-relaxed cell (PBE, the Materials Project); Cu Kα, 1.54184 Å).
Neutral-atom scattering factors, no anomalous dispersion.

```
data_RbP
_cell_length_a 4.9917
_cell_length_b 4.9917
_cell_length_c 4.9917
_cell_angle_alpha 60.00
_cell_angle_beta 60.00
_cell_angle_gamma 60.00
_space_group_name_H-M_alt 'P 1'
_space_group_IT_number 1
_space_group_name_Hall 'P 1'
loop_
_atom_site_label
_atom_site_fract_x
_atom_site_fract_y
_atom_site_fract_z
Rb1 0.0000 0.0000 0.0000
P1 0.5000 0.5000 0.5000
```

Most intense lines, 10° ≤ 2θ ≤ 90°, in order of rising 2θ:
2θ/deg  intensity
21.81  39
25.23  100
35.98  76
42.47  22
44.46  27
51.80  13
58.47  35
64.69  26
81.87  17
87.37  12